1.
For Pr2AsS5, a cell relaxed with GGA-PBE gives the simulated X-ray powder pattern in this record (CuKα).

Largest 12 diffraction maxima, by angle, 10 to 80 degrees two-theta:
- 6.396 Å, I = 48.1
- 5.210 Å, I = 40.4
- 4.633 Å, I = 54.9
- 4.166 Å, I = 78.2
- 4.051 Å, I = 78.2
- 3.462 Å, I = 83.1
- 3.254 Å, I = 71.2
- 3.196 Å, I = 72.6
- 2.605 Å, I = 100.0
- 2.520 Å, I = 50.0
- 2.329 Å, I = 46.2
- 1.934 Å, I = 38.6

Crystal structure
```
Pr2AsS5
1.0
4.585 -5.210 0.000
4.585 5.210 0.000
-2.456 0.000 4.633
Pr As S
2 1 5
Direct
0.230 0.770 0.000
0.770 0.230 0.000
0.353 0.353 0.397
0.091 0.091 0.357
0.094 0.593 0.369
0.100 0.100 0.842
0.536 0.536 0.902
0.593 0.094 0.369
```

2.
For Pr8SbAs6, a cell relaxed with GGA-PBE gives the simulated X-ray powder pattern in this record (CuKα).

Largest 12 diffraction maxima, by angle, 10 to 80 degrees two-theta:
- 3.441 Å, I = 63.5
- 3.235 Å, I = 50.1
- 3.169 Å, I = 100.0
- 2.787 Å, I = 75.2
- 2.637 Å, I = 28.1
- 2.331 Å, I = 77.1
- 2.208 Å, I = 24.7
- 1.956 Å, I = 37.8
- 1.878 Å, I = 25.8
- 1.812 Å, I = 23.5
- 1.692 Å, I = 18.2
- 1.298 Å, I = 34.3

Crystal structure
```
Pr8SbAs6
1.0
10.979 0.000 0.000
-5.490 9.508 0.000
0.000 0.000 4.416
Pr Sb As
8 1 6
Direct
0.034 0.337 0.257
0.303 0.966 0.257
0.333 0.667 0.749
0.337 0.303 0.743
0.663 0.697 0.257
0.667 0.333 0.251
0.697 0.034 0.743
0.966 0.663 0.743
0.000 0.000 0.500
0.133 0.655 0.245
0.345 0.478 0.245
0.478 0.133 0.755
0.522 0.867 0.245
0.655 0.522 0.755
0.867 0.345 0.755
```

3.
For Pr5Sb4As, a cell relaxed with GGA-PBE gives the simulated X-ray powder pattern in this record (CuKα).

Largest 12 diffraction maxima, by angle, 10 to 80 degrees two-theta:
- 3.684 Å, I = 2.5
- 3.190 Å, I = 100.0
- 2.786 Å, I = 0.7
- 2.491 Å, I = 0.6
- 2.256 Å, I = 76.1
- 1.924 Å, I = 1.2
- 1.842 Å, I = 27.1
- 1.596 Å, I = 8.6
- 1.593 Å, I = 4.0
- 1.427 Å, I = 23.5
- 1.425 Å, I = 10.9
- 1.302 Å, I = 25.1

Crystal structure
```
Pr5Sb4As
1.0
-2.257 2.257 15.929
2.257 -2.257 15.929
2.257 2.257 -15.929
Pr Sb As
5 4 1
Direct
0.000 0.000 0.000
0.200 0.200 0.000
0.404 0.404 0.000
0.596 0.596 0.000
0.800 0.800 0.000
0.099 0.099 0.000
0.302 0.302 0.000
0.698 0.698 0.000
0.901 0.901 0.000
0.500 0.500 0.000
```

4.
For Pr3Sb2As, a cell relaxed with GGA-PBE gives the simulated X-ray powder pattern in this record (CuKα).

Largest 12 diffraction maxima, by angle, 10 to 80 degrees two-theta:
- 3.166 Å, I = 100.0
- 2.240 Å, I = 62.9
- 2.230 Å, I = 12.7
- 1.831 Å, I = 13.1
- 1.824 Å, I = 13.7
- 1.582 Å, I = 8.1
- 1.418 Å, I = 5.3
- 1.416 Å, I = 22.8
- 1.411 Å, I = 5.8
- 1.295 Å, I = 11.8
- 1.292 Å, I = 4.3
- 1.289 Å, I = 8.5

Crystal structure
```
Pr3Sb2As
1.0
-2.230 3.170 6.732
2.230 -3.170 6.732
2.230 3.170 -6.732
Pr Sb As
3 2 1
Direct
0.000 0.000 0.000
0.343 0.343 0.000
0.657 0.657 0.000
0.170 0.670 0.500
0.830 0.330 0.500
0.500 0.000 0.500
```

5.
For Pr2ScAs3, a cell relaxed with GGA-PBE gives the simulated X-ray powder pattern in this record (CuKα).

Largest 12 diffraction maxima, by angle, 10 to 80 degrees two-theta:
- 8.755 Å, I = 11.4
- 4.103 Å, I = 11.6
- 2.984 Å, I = 100.0
- 2.918 Å, I = 46.0
- 2.110 Å, I = 37.1
- 2.086 Å, I = 70.1
- 1.710 Å, I = 37.3
- 1.492 Å, I = 12.1
- 1.335 Å, I = 16.5
- 1.329 Å, I = 15.9
- 1.311 Å, I = 14.1
- 1.214 Å, I = 23.7

Crystal structure
```
Pr2ScAs3
1.0
-2.110 2.110 8.755
2.110 -2.110 8.755
2.110 2.110 -8.755
Pr Sc As
2 1 3
Direct
0.166 0.166 0.000
0.834 0.834 0.000
0.500 0.500 0.000
0.000 0.000 0.000
0.341 0.341 0.000
0.659 0.659 0.000
```

6.
For PrThSc2As4, a cell relaxed with GGA-PBE gives the simulated X-ray powder pattern in this record (CuKα).

Largest 12 diffraction maxima, by angle, 10 to 80 degrees two-theta:
- 6.611 Å, I = 19.6
- 3.500 Å, I = 24.7
- 2.890 Å, I = 100.0
- 2.648 Å, I = 17.1
- 2.053 Å, I = 38.1
- 2.034 Å, I = 34.5
- 1.961 Å, I = 6.5
- 1.674 Å, I = 19.5
- 1.502 Å, I = 8.6
- 1.445 Å, I = 11.3
- 1.297 Å, I = 16.6
- 1.288 Å, I = 9.4

Crystal structure
```
PrThSc2As4
1.0
7.020 0.000 0.000
0.000 4.107 0.000
-2.391 0.000 6.697
Pr Th Sc As
1 1 2 4
Direct
0.000 0.000 0.000
0.000 0.500 0.500
0.500 0.000 0.500
0.500 0.500 0.000
0.274 0.000 0.756
0.275 0.500 0.261
0.725 0.500 0.739
0.726 0.000 0.244
```

7.
For Pr7AsSe5, a cell relaxed with GGA-PBE gives the simulated X-ray powder pattern in this record (CuKα).

Largest 12 diffraction maxima, by angle, 10 to 80 degrees two-theta:
- 3.190 Å, I = 75.2
- 3.091 Å, I = 38.2
- 3.023 Å, I = 100.0
- 2.919 Å, I = 60.9
- 2.862 Å, I = 42.2
- 2.290 Å, I = 40.5
- 2.182 Å, I = 25.2
- 2.128 Å, I = 28.5
- 2.111 Å, I = 60.2
- 2.095 Å, I = 38.2
- 1.751 Å, I = 26.5
- 1.691 Å, I = 19.8

Crystal structure
```
Pr7AsSe5
1.0
6.985 -2.095 0.000
6.985 2.095 0.000
-0.027 0.000 25.103
Pr As Se
14 2 10
Direct
0.000 0.000 0.000
0.000 0.000 0.137
0.105 0.105 0.701
0.108 0.108 0.435
0.287 0.287 0.936
0.288 0.288 0.201
0.393 0.393 0.637
0.395 0.395 0.500
0.558 0.558 0.857
0.559 0.559 0.281
0.665 0.665 0.569
0.729 0.729 0.069
0.835 0.835 0.781
0.836 0.836 0.357
0.011 0.011 0.570
0.383 0.383 0.069
0.196 0.196 0.819
0.198 0.198 0.319
0.474 0.474 0.746
0.476 0.476 0.391
0.642 0.642 0.174
0.642 0.642 0.964
0.751 0.751 0.674
0.753 0.753 0.464
0.919 0.919 0.891
0.920 0.920 0.246
```

8.
For Pr3AsSe, a cell relaxed with GGA-PBE gives the simulated X-ray powder pattern in this record (CuKα).

Largest 12 diffraction maxima, by angle, 10 to 80 degrees two-theta:
- 6.025 Å, I = 9.2
- 3.850 Å, I = 12.4
- 3.479 Å, I = 56.3
- 2.581 Å, I = 100.0
- 2.008 Å, I = 29.8
- 1.925 Å, I = 8.7
- 1.781 Å, I = 8.8
- 1.684 Å, I = 14.1
- 1.585 Å, I = 22.4
- 1.390 Å, I = 17.9
- 1.244 Å, I = 19.9
- 1.204 Å, I = 9.2

Crystal structure
```
Pr3AsSe
1.0
6.957 0.000 0.000
-3.479 6.025 0.000
0.000 0.000 3.850
Pr As Se
3 1 1
Direct
0.001 0.338 0.000
0.337 0.999 0.000
0.662 0.663 0.000
0.333 0.667 0.500
0.000 0.000 0.500
```

9.
For Pr6As2Se3, a cell relaxed with GGA-PBE gives the simulated X-ray powder pattern in this record (CuKα).

Largest 12 diffraction maxima, by angle, 10 to 80 degrees two-theta:
- 3.628 Å, I = 8.3
- 3.231 Å, I = 100.0
- 2.559 Å, I = 65.8
- 2.084 Å, I = 41.6
- 2.009 Å, I = 26.6
- 1.814 Å, I = 8.8
- 1.751 Å, I = 17.1
- 1.616 Å, I = 16.0
- 1.446 Å, I = 9.1
- 1.368 Å, I = 20.7
- 1.341 Å, I = 13.9
- 1.277 Å, I = 14.5

Crystal structure
```
Pr6As2Se3
1.0
7.218 0.000 0.000
-3.609 6.251 0.000
0.000 0.000 7.256
Pr As Se
6 2 3
Direct
0.000 0.336 0.257
0.000 0.664 0.743
0.336 0.000 0.257
0.336 0.336 0.743
0.664 0.000 0.743
0.664 0.664 0.257
0.333 0.667 0.500
0.667 0.333 0.500
0.000 0.000 0.500
0.333 0.667 0.000
0.667 0.333 0.000
```

10.
For Pr4SiAs2, a cell relaxed with GGA-PBE gives the simulated X-ray powder pattern in this record (CuKα).

Largest 12 diffraction maxima, by angle, 10 to 80 degrees two-theta:
- 3.732 Å, I = 28.2
- 3.230 Å, I = 30.4
- 2.892 Å, I = 100.0
- 2.887 Å, I = 59.2
- 2.443 Å, I = 99.7
- 1.949 Å, I = 13.6
- 1.865 Å, I = 31.9
- 1.795 Å, I = 20.5
- 1.791 Å, I = 38.3
- 1.481 Å, I = 23.1
- 1.411 Å, I = 16.1
- 1.319 Å, I = 12.0

Crystal structure
```
Pr4SiAs2
1.0
-4.564 4.564 4.581
4.564 -4.564 4.581
4.564 4.564 -4.581
Pr Si As
8 2 4
Direct
0.127 0.508 0.749
0.128 0.009 0.751
0.258 0.377 0.249
0.492 0.241 0.619
0.622 0.873 0.381
0.623 0.872 0.881
0.759 0.378 0.251
0.991 0.742 0.119
0.250 0.750 0.500
0.500 0.500 0.000
0.000 0.125 0.375
0.375 0.000 0.125
0.750 0.625 0.625
0.875 0.250 0.875
```

11.
For PrSm4As5, a cell relaxed with GGA-PBE gives the simulated X-ray powder pattern in this record (CuKα).

Largest 9 diffraction maxima, by angle, 10 to 80 degrees two-theta:
- 3.457 Å, I = 18.6
- 2.994 Å, I = 100.0
- 2.117 Å, I = 75.0
- 1.805 Å, I = 9.2
- 1.728 Å, I = 26.5
- 1.497 Å, I = 12.3
- 1.374 Å, I = 3.8
- 1.339 Å, I = 33.8
- 1.222 Å, I = 25.2

Crystal structure
```
PrSm4As5
1.0
-2.118 2.992 10.580
2.118 -2.992 10.580
2.118 2.992 -10.580
Pr Sm As
1 4 5
Direct
0.000 0.000 0.000
0.201 0.201 0.000
0.400 0.400 0.000
0.600 0.600 0.000
0.799 0.799 0.000
0.102 0.602 0.500
0.300 0.800 0.500
0.500 0.000 0.500
0.700 0.200 0.500
0.898 0.398 0.500
```

12.
For PrSm3As4, a cell relaxed with GGA-PBE gives the simulated X-ray powder pattern in this record (CuKα).

Largest 9 diffraction maxima, by angle, 10 to 80 degrees two-theta:
- 3.460 Å, I = 18.5
- 2.996 Å, I = 100.0
- 2.119 Å, I = 75.0
- 1.807 Å, I = 9.2
- 1.730 Å, I = 26.6
- 1.498 Å, I = 12.4
- 1.375 Å, I = 3.7
- 1.340 Å, I = 33.9
- 1.223 Å, I = 25.2

Crystal structure
```
PrSm3As4
1.0
5.992 0.000 0.000
0.000 5.992 0.000
0.000 0.000 5.992
Pr Sm As
1 3 4
Direct
0.000 0.000 0.000
0.000 0.500 0.500
0.500 0.000 0.500
0.500 0.500 0.000
0.000 0.000 0.500
0.000 0.500 0.000
0.500 0.000 0.000
0.500 0.500 0.500
```